Entry 1:
This entry pairs a crystal structure of Li2CrFe3O8 with its simulated powder diffraction line list. Radiation: Cu Kα, 1.54184 Å. Structure: a cell relaxed with PBE+U.
Peak positions follow from Bragg's law for the DFT cell and can differ from measured ones.

Principal peaks in the range 2θ = 10–90°, in order of falling intensity:
| 2θ (°) | Rel. int. | h k l |
| --- | --- | --- |
| 18.49 | 100 | 0 0 2 |
| 19.64 | 97 | 1 1 1 |
| 45.35 | 65 | 2 2 -3 |
| 36.29 | 56 | 2 2 -1 |
| 35.77 | 52 | 1 3 -2 |
| 19.74 | 51 | 0 2 1 |
| 25.45 | 49 | 1 1 -2 |
| 33.02 | 48 | 1 1 3 |
| 60.23 | 45 | 2 2 5 |
| 39.89 | 42 | 2 2 -2 |
| 63.14 | 40 | 2 6 0 |
| 45.54 | 33 | 0 4 3 |

Lattice parameters (Å, degrees): 5.930 10.179 9.600 90.00 90.06 90.00
Space group Cc (No. 9)
Symmetry-distinct sites (fractional):
Li 0.000 0.000 0.000 x4
Li 0.000 0.332 0.103 x4
Cr 0.000 0.336 0.513 x4
Fe 0.000 0.169 0.784 x4
Fe 0.246 0.416 0.784 x4
Fe 0.253 0.085 0.285 x4
O 0.000 0.481 0.656 x4
O 0.001 0.000 0.187 x4
O 0.221 0.264 0.656 x4
O 0.247 0.080 0.896 x4
O 0.252 0.421 0.396 x4
O 0.279 0.237 0.156 x4
O 0.499 0.167 0.395 x4
O 0.499 0.334 0.898 x4



Entry 2:
This entry pairs a crystal structure of LiMn4O8 with its simulated powder diffraction line list. Radiation: Cu Kα, 1.54184 Å. Structure: a cell relaxed with PBE+U.
Peak positions follow from Bragg's law for the DFT cell and can differ from measured ones.

Principal peaks in the range 2θ = 10–90°, in order of falling intensity:
| 2θ (°) | Rel. int. | h k l |
| --- | --- | --- |
| 28.91 | 100 | 2 0 -3 |
| 12.66 | 96 | 0 0 1 |
| 12.97 | 95 | 2 0 -1 |
| 18.33 | 95 | 2 0 -2 |
| 18.00 | 81 | 2 0 0 |
| 36.62 | 61 | 3 1 -2 |
| 36.44 | 54 | 4 0 0 |
| 36.27 | 52 | 1 1 1 |
| 70.00 | 37 | 9 1 -5 |
| 68.30 | 33 | 1 1 4 |
| 36.50 | 31 | 3 1 -1 |
| 41.18 | 30 | 3 1 -3 |

Lattice parameters (Å, degrees): 13.651 2.987 9.683 90.00 133.79 90.00
Space group C2 (No. 5)
Symmetry-distinct sites (fractional):
Li 0.000 0.000 0.000 x2
Mn 0.147 0.980 0.476 x4
Mn 0.168 0.481 0.818 x4
O 0.046 0.981 0.725 x4
O 0.154 0.480 0.609 x4
O 0.155 0.480 0.347 x4
O 0.199 0.480 0.053 x4



Entry 3:
This entry pairs a crystal structure of CrOF with its simulated powder diffraction line list. Radiation: Cu Kα, 1.54184 Å. Structure: a cell relaxed with PBE+U.
Peak positions follow from Bragg's law for the DFT cell and can differ from measured ones.

Principal peaks in the range 2θ = 10–90°, in order of falling intensity:
| 2θ (°) | Rel. int. | h k l |
| --- | --- | --- |
| 20.45 | 100 | 1 0 1 |
| 34.76 | 50 | 2 1 0 |
| 45.00 | 40 | 3 1 1 |
| 26.03 | 35 | 2 0 1 |
| 46.85 | 20 | 3 0 2 |
| 65.14 | 15 | 0 1 3 |
| 33.43 | 15 | 3 0 1 |
| 39.54 | 12 | 2 1 1 |
| 60.65 | 12 | 0 2 0 |
| 56.19 | 12 | 3 1 2 |
| 59.84 | 12 | 5 1 1 |
| 51.86 | 11 | 4 1 1 |

Lattice parameters (Å, degrees): 9.638 3.054 4.864 90.00 90.00 90.00
Space group Pnma (No. 62)
Symmetry-distinct sites (fractional):
Cr 0.120 0.250 0.089 x4
O 0.012 0.750 0.213 x4
F 0.243 0.750 0.923 x4



Entry 4:
This entry pairs a crystal structure of Ca2Ta2CoO8 with its simulated powder diffraction line list. Radiation: Cu Kα, 1.54184 Å. Structure: a cell relaxed with PBE+U.
Peak positions follow from Bragg's law for the DFT cell and can differ from measured ones.

Principal peaks in the range 2θ = 10–90°, in order of falling intensity:
| 2θ (°) | Rel. int. | h k l |
| --- | --- | --- |
| 32.64 | 100 | 2 2 2 |
| 31.58 | 92 | 1 -2 2 |
| 32.40 | 80 | 1 2 4 |
| 27.38 | 72 | 1 0 3 |
| 18.71 | 67 | 0 0 2 |
| 32.79 | 61 | 0 4 2 |
| 14.72 | 57 | 1 0 1 |
| 21.86 | 48 | 1 -2 0 |
| 49.32 | 45 | 3 0 4 |
| 38.17 | 43 | -2 2 2 |
| 19.82 | 39 | 1 0 -1 |
| 22.09 | 37 | 1 2 2 |

Lattice parameters (Å, degrees): 6.346 10.930 11.253 62.72 73.62 89.92
Space group P1 (No. 1)
Symmetry-distinct sites (fractional):
Ca 0.000 0.000 0.000 x1
Ca 0.000 0.500 0.001 x1
Ca 0.227 0.827 0.831 x1
Ca 0.228 0.327 0.832 x1
Ca 0.582 0.576 0.835 x1
Ca 0.584 0.077 0.833 x1
Ca 0.642 0.749 0.003 x1
Ca 0.643 0.249 0.001 x1
Ta 0.076 0.149 0.194 x1
Ta 0.076 0.649 0.194 x1
Ta 0.151 0.178 0.639 x1
Ta 0.151 0.678 0.640 x1
Ta 0.374 0.398 0.195 x1
Ta 0.374 0.898 0.195 x1
Ta 0.851 0.927 0.640 x1
Ta 0.853 0.428 0.640 x1
Co 0.475 0.037 0.417 x1
Co 0.476 0.539 0.418 x1
Co 0.751 0.788 0.417 x1
Co 0.752 0.288 0.416 x1
O 0.058 0.440 0.277 x1
O 0.059 0.939 0.278 x1
O 0.169 0.387 0.557 x1
O 0.169 0.887 0.558 x1
O 0.234 0.846 0.056 x1
O 0.235 0.346 0.055 x1
O 0.275 0.648 0.787 x1
O 0.276 0.149 0.786 x1
O 0.309 0.189 0.277 x1
O 0.312 0.689 0.277 x1
O 0.355 0.096 0.055 x1
O 0.355 0.595 0.055 x1
O 0.406 0.146 0.530 x1
O 0.409 0.648 0.530 x1
O 0.522 0.428 0.305 x1
O 0.523 0.928 0.305 x1
O 0.581 0.898 0.787 x1
O 0.582 0.399 0.786 x1
O 0.645 0.928 0.048 x1
O 0.646 0.427 0.049 x1
O 0.703 0.898 0.530 x1
O 0.705 0.398 0.530 x1
O 0.818 0.179 0.303 x1
O 0.818 0.679 0.304 x1
O 0.871 0.730 0.779 x1
O 0.872 0.231 0.779 x1
O 0.914 0.137 0.558 x1
O 0.919 0.637 0.556 x1
O 0.952 0.177 0.047 x1
O 0.952 0.678 0.047 x1
O 0.991 0.981 0.779 x1
O 0.993 0.481 0.779 x1



Entry 5:
This entry pairs a crystal structure of KMg6CoO8 with its simulated powder diffraction line list. Radiation: Cu Kα, 1.54184 Å. Structure: a cell relaxed with PBE+U.
Peak positions follow from Bragg's law for the DFT cell and can differ from measured ones.

Principal peaks in the range 2θ = 10–90°, in order of falling intensity:
| 2θ (°) | Rel. int. | h k l |
| --- | --- | --- |
| 41.33 | 100 | 2 0 0 |
| 59.39 | 56 | 2 0 4 |
| 40.69 | 50 | 0 0 4 |
| 35.41 | 33 | 1 1 2 |
| 59.87 | 28 | 2 2 0 |
| 74.92 | 26 | 2 2 4 |
| 71.52 | 11 | 3 1 2 |
| 30.64 | 9 | 1 1 1 |
| 89.78 | 8 | 4 0 0 |
| 20.02 | 7 | 0 0 2 |
| 70.64 | 6 | 1 1 6 |
| 30.23 | 6 | 0 0 3 |

Lattice parameters (Å, degrees): 4.370 4.370 8.869 90.00 90.00 90.00
Space group P4/mmm (No. 123)
Symmetry-distinct sites (fractional):
K 0.000 0.000 0.000 x1
Mg 0.000 0.000 0.500 x1
Mg 0.000 0.500 0.259 x4
Mg 0.500 0.500 0.500 x1
Co 0.500 0.500 0.000 x1
O 0.000 0.000 0.275 x2
O 0.000 0.500 0.000 x2
O 0.000 0.500 0.500 x2
O 0.500 0.500 0.248 x2